Simulated XRD peak list of K3Cr4PO16 for CuKα, from a DFT-relaxed cell (GGA+U, Alexandria).
Peak positions follow from Bragg's law for the DFT cell and can differ from measured ones.

Main lines, sorted by position (2θ from 10° to 90°):
2θ (°), I_rel
14.6, 17
19.4, 20
23.9, 62
24.1, 31
24.3, 100
24.6, 70
29.5, 26
30.0, 18
30.4, 18
36.9, 17

a b c (Å): 7.700 7.700 15.368
angles (deg): 100.14 100.14 102.25
Fractional coordinates of all 48 atoms:
1 K 0.014 0.986 0.500
2 K 0.298 0.762 0.777
3 K 0.418 0.499 0.495
4 K 0.499 0.418 0.995
5 K 0.762 0.298 0.277
6 K 0.986 0.014 0.000
7 Cr 0.294 0.420 0.216
8 Cr 0.420 0.294 0.716
9 Cr 0.456 0.985 0.396
10 Cr 0.503 0.966 0.026
11 Cr 0.768 0.894 0.724
12 Cr 0.894 0.768 0.224
13 Cr 0.966 0.503 0.526
14 Cr 0.985 0.456 0.896
15 P 0.296 0.827 0.184
16 P 0.827 0.296 0.684
17 O 0.021 0.374 0.445
18 O 0.069 0.675 0.927
19 O 0.087 0.802 0.165
20 O 0.094 0.383 0.238
21 O 0.119 0.350 0.947
22 O 0.141 0.672 0.576
23 O 0.270 0.296 0.627
24 O 0.296 0.270 0.127
25 O 0.349 0.646 0.186
26 O 0.350 0.119 0.447
27 O 0.358 0.899 0.105
28 O 0.374 0.021 0.945
29 O 0.383 0.094 0.738
30 O 0.391 0.971 0.272
31 O 0.401 0.784 0.416
32 O 0.413 0.446 0.802
33 O 0.446 0.413 0.302
34 O 0.576 0.748 0.671
35 O 0.581 0.796 0.986
36 O 0.646 0.349 0.686
37 O 0.672 0.141 0.076
38 O 0.675 0.069 0.427
39 O 0.748 0.576 0.171
40 O 0.763 0.969 0.829
41 O 0.784 0.401 0.916
42 O 0.796 0.581 0.486
43 O 0.801 0.937 0.219
44 O 0.802 0.087 0.665
45 O 0.899 0.358 0.605
46 O 0.937 0.801 0.719
47 O 0.969 0.763 0.329
48 O 0.971 0.391 0.772

Simulated XRD peak list of KCrP2O7 for CuKα, from a DFT-relaxed cell (GGA+U, Alexandria).
Peak positions follow from Bragg's law for the DFT cell and can differ from measured ones.

Main lines, sorted by position (2θ from 10° to 90°):
2θ (°), I_rel
15.2, 54
16.6, 15
22.4, 48
26.0, 18
28.4, 11
29.4, 41
29.7, 16
30.0, 100
33.6, 12
42.3, 11

a b c (Å): 7.473 10.088 8.313
angles (deg): 90.00 106.99 90.00
Fractional coordinates of all 44 atoms:
1 K 0.178 0.178 0.058
2 K 0.178 0.322 0.558
3 K 0.822 0.678 0.442
4 K 0.822 0.822 0.942
5 Cr 0.237 0.601 0.261
6 Cr 0.237 0.899 0.761
7 Cr 0.763 0.101 0.239
8 Cr 0.763 0.399 0.739
9 P 0.130 0.598 0.830
10 P 0.130 0.902 0.330
11 P 0.439 0.635 0.692
12 P 0.439 0.865 0.192
13 P 0.561 0.135 0.808
14 P 0.561 0.365 0.308
15 P 0.870 0.098 0.670
16 P 0.870 0.402 0.170
17 O 0.006 0.503 0.279
18 O 0.006 0.997 0.779
19 O 0.080 0.736 0.751
20 O 0.080 0.764 0.251
21 O 0.141 0.594 0.013
22 O 0.141 0.906 0.513
23 O 0.319 0.605 0.514
24 O 0.319 0.895 0.014
25 O 0.335 0.558 0.813
26 O 0.335 0.942 0.313
27 O 0.363 0.078 0.762
28 O 0.363 0.422 0.262
29 O 0.451 0.718 0.244
30 O 0.451 0.782 0.744
31 O 0.549 0.218 0.256
32 O 0.549 0.282 0.756
33 O 0.637 0.578 0.738
34 O 0.637 0.922 0.238
35 O 0.665 0.058 0.687
36 O 0.665 0.442 0.187
37 O 0.681 0.105 0.986
38 O 0.681 0.395 0.486
39 O 0.859 0.094 0.487
40 O 0.859 0.406 0.987
41 O 0.920 0.236 0.749
42 O 0.920 0.264 0.249
43 O 0.994 0.003 0.221
44 O 0.994 0.497 0.721